Entry 1:
Diffraction record for Be2NbB2. The powder diffractogram is simulated, not measured: it uses DFT lattice parameters and positions (GGA-PBE) and Cu Kα, 1.54184 Å.
Peak positions follow from Bragg's law for the DFT cell and can differ from measured ones.

Atomic structure:
a b c (Å): 3.167 9.273 5.998
angles (deg): 90.00 90.00 90.00
Space group Cmc2_1 (No. 36)
Asymmetric unit:
Be  0.000  0.127  0.000 x4
Be  0.000  0.305  0.754 x4
Nb  0.000  0.416  0.147 x4
B  0.000  0.065  0.336 x4
B  0.000  0.238  0.447 x4

Main lines, by angle (10° ≤ 2θ ≤ 80°):
hkl 0 2 0, 2θ 19.14, I 24
hkl 0 2 1, 2θ 24.26, I 100
hkl 0 0 2, 2θ 29.80, I 93
hkl 1 1 1, 2θ 33.42, I 32
hkl 0 2 2, 2θ 35.65, I 16
hkl 0 4 1, 2θ 41.77, I 30
hkl 1 1 2, 2θ 42.65, I 64
hkl 1 3 1, 2θ 43.61, I 83
hkl 0 2 3, 2θ 49.67, I 29
hkl 1 1 4, 2θ 70.19, I 17

=====

Entry 2:
Diffraction record for Dy3Tl2In4. The powder diffractogram is simulated, not measured: it uses DFT lattice parameters and positions (GGA-PBE) and Cu Kα, 1.54184 Å.
Peak positions follow from Bragg's law for the DFT cell and can differ from measured ones.

Atomic structure:
a b c (Å): 7.9238 7.9238 4.3930
angles (deg): 90.00 90.00 120.00
Space group P-62m (No. 189)
Asymmetric unit:
Dy  0.0000  0.6046  0.0000 x3
Tl  0.3333  0.6667  0.5000 x2
In  0.0000  0.0000  0.0000 x1
In  0.0000  0.2594  0.5000 x3

Main lines, by angle (10° ≤ 2θ ≤ 80°):
hkl 1 1 1, 2θ 30.38, I 100
hkl 2 0 1, 2θ 33.13, I 74
hkl 2 1 0, 2θ 34.58, I 32
hkl 3 0 0, 2θ 39.39, I 47
hkl 2 1 1, 2θ 40.38, I 30
hkl 0 0 2, 2θ 41.09, I 27
hkl 2 1 2, 2θ 54.76, I 17
hkl 3 0 2, 2θ 58.23, I 30
hkl 3 2 1, 2θ 62.69, I 28
hkl 1 1 3, 2θ 68.30, I 12

=====

Entry 3:
Diffraction record for B4Ir. The powder diffractogram is simulated, not measured: it uses DFT lattice parameters and positions (GGA-PBE) and Cu Kα, 1.54184 Å.
Peak positions follow from Bragg's law for the DFT cell and can differ from measured ones.

Atomic structure:
a b c (Å): 4.097 4.097 4.097
angles (deg): 90.00 90.00 90.00
Space group Pm-3m (No. 221)
Asymmetric unit:
B  0.000  0.000  0.000 x1
B  0.000  0.500  0.500 x3
Ir  0.500  0.500  0.500 x1

Main lines, by angle (10° ≤ 2θ ≤ 80°):
hkl 1 0 0, 2θ 21.69, I 100
hkl 1 1 0, 2θ 30.87, I 84
hkl 1 1 1, 2θ 38.04, I 22
hkl 2 0 0, 2θ 44.22, I 21
hkl 2 1 0, 2θ 49.77, I 45
hkl 2 1 1, 2θ 54.90, I 34
hkl 2 2 0, 2θ 64.31, I 14
hkl 3 0 0, 2θ 68.74, I 22
hkl 3 1 0, 2θ 73.04, I 15
hkl 3 1 1, 2θ 77.23, I 9

=====

Entry 4:
Diffraction record for CsTmZnCl6. The powder diffractogram is simulated, not measured: it uses DFT lattice parameters and positions (GGA-PBE) and Cu Kα, 1.54184 Å.
Peak positions follow from Bragg's law for the DFT cell and can differ from measured ones.

Atomic structure:
a b c (Å): 6.7100 6.7100 7.8061
angles (deg): 90.00 90.00 120.00
Space group P312 (No. 149)
Asymmetric unit:
Cs  0.0000  0.0000  0.0000 x1
Tm  0.3333  0.6667  0.5000 x1
Zn  0.6667  0.3333  0.5000 x1
Cl  0.3857  0.0125  0.6884 x6

Main lines, by angle (10° ≤ 2θ ≤ 80°):
hkl 0 0 1, 2θ 11.34, I 28
hkl 1 0 1, 2θ 19.04, I 100
hkl 1 1 0, 2θ 26.57, I 21
hkl 2 -1 1, 2θ 28.97, I 15
hkl 2 0 1, 2θ 32.89, I 19
hkl 2 -1 2, 2θ 35.28, I 58
hkl 1 0 3, 2θ 37.89, I 13
hkl 3 -1 1, 2θ 42.77, I 25
hkl 3 0 0, 2θ 46.89, I 30
hkl 2 2 0, 2θ 54.70, I 15

=====

Entry 5:
Diffraction record for Rb3CdI6. The powder diffractogram is simulated, not measured: it uses DFT lattice parameters and positions (GGA-PBE) and Cu Kα, 1.54184 Å.
Peak positions follow from Bragg's law for the DFT cell and can differ from measured ones.

Atomic structure:
a b c (Å): 15.675 20.235 6.912
angles (deg): 90.00 90.00 90.00
Space group Cmc2_1 (No. 36)
Asymmetric unit:
Rb  0.000  0.118  0.000 x4
Rb  0.183  0.381  0.979 x8
Cd  0.000  0.294  0.394 x4
I  0.000  0.287  0.799 x4
I  0.000  0.429  0.292 x4
I  0.150  0.228  0.271 x8
I  0.161  0.002  0.738 x8

Main lines, by angle (10° ≤ 2θ ≤ 80°):
hkl 1 3 0, 2θ 14.30, I 38
hkl 0 4 0, 2θ 17.53, I 43
hkl 2 2 1, 2θ 19.24, I 56
hkl 0 4 1, 2θ 21.77, I 40
hkl 3 3 1, 2θ 25.12, I 51
hkl 3 5 0, 2θ 27.89, I 66
hkl 0 4 2, 2θ 31.35, I 100
hkl 6 0 0, 2θ 34.33, I 35
hkl 6 4 2, 2θ 47.17, I 25
hkl 3 9 2, 2θ 51.56, I 23

=====

Entry 6:
Diffraction record for Sr4MgIn3. The powder diffractogram is simulated, not measured: it uses DFT lattice parameters and positions (GGA-PBE) and Cu Kα, 1.54184 Å.
Peak positions follow from Bragg's law for the DFT cell and can differ from measured ones.

Atomic structure:
a b c (Å): 5.7829 5.7829 28.3665
angles (deg): 90.00 90.00 120.00
Space group R-3m (No. 166, hexagonal axes)
Asymmetric unit:
Sr  0.0000  0.0000  0.1230 x6
Sr  0.0000  0.0000  0.3731 x6
Mg  0.0000  0.0000  0.5000 x3
In  0.0000  0.0000  0.0000 x3
In  0.0000  0.0000  0.2473 x6

Main lines, by angle (10° ≤ 2θ ≤ 80°):
hkl 1 0 1, 2θ 17.99, I 3
hkl 0 0 6, 2θ 18.79, I 3
hkl 0 1 5, 2θ 23.70, I 2
hkl 1 1 0, 2θ 30.91, I 100
hkl 1 1 6, 2θ 36.42, I 2
hkl 1 1 9, 2θ 42.42, I 2
hkl 2 0 8, 2θ 44.28, I 18
hkl 3 0 0, 2θ 54.98, I 38
hkl 2 2 0, 2θ 64.42, I 11
hkl 3 1 8, 2θ 73.16, I 16